The following is a calculated XRD peak list of NiBiO4. It was derived from a structure optimized by DFT (PBE+U), using a wavelength of 1.5418 Å.

Top 10 peaks for 15° ≤ 2θ ≤ 90°, in order of rising 2θ:
index	d (Å)	I_rel
1 0 1	4.639	44
2 0 0	3.441	100
2 1 1	2.763	29
1 1 2	2.638	77
2 2 0	2.433	25
3 1 2	1.789	66
4 0 0	1.720	16
4 2 0	1.539	16
3 3 2	1.441	20
2 0 4	1.428	15

Structure:
a = 6.8813 Å, b = 6.8813 Å, c = 6.2800 Å
α = 90.00°, β = 90.00°, γ = 90.00°
Space group I4_1md (No. 109)
Unique sites:
Ni: 0.0000 0.0000 0.0000 [4 per cell]
Bi: 0.0000 0.0000 0.4934 [4 per cell]
O: 0.0000 0.1865 0.7641 [8 per cell]
O: 0.0000 0.1898 0.2272 [8 per cell]